Record 1
This entry pairs a crystal structure of La4NiAu with its calculated PXRD pattern. Radiation: Cu Ka. Structure: a crystal structure in Alexandria, relaxed with GGA-PBE.
No peak broadening, texture or thermal motion is included.

Main lines, low angle first (10 to 90 degrees two-theta):
2θ 24.6, d = 3.626 Å, rel. 246
2θ 28.6, d = 3.119 Å, rel. 608
2θ 31.0, d = 2.888 Å, rel. 316
2θ 31.1, d = 2.876 Å, rel. 340
2θ 31.8, d = 2.816 Å, rel. 218
2θ 33.4, d = 2.683 Å, rel. 388
2θ 33.5, d = 2.673 Å, rel. 379
2θ 33.9, d = 2.645 Å, rel. 1000
2θ 44.5, d = 2.038 Å, rel. 235
2θ 49.2, d = 1.852 Å, rel. 256
2θ 50.3, d = 1.813 Å, rel. 231
2θ 60.3, d = 1.534 Å, rel. 231

Atomic structure:
```
La4NiAu
1.0
6.452 0.000 0.000
0.000 7.252 0.000
-2.609 0.000 7.724
La Ni Au
8 2 2
direct
0.011 0.004 0.231
0.011 0.496 0.231
0.429 0.250 0.625
0.436 0.250 0.090
0.564 0.750 0.910
0.571 0.750 0.375
0.989 0.504 0.769
0.989 0.996 0.769
0.214 0.750 0.055
0.786 0.250 0.945
0.215 0.750 0.554
0.785 0.250 0.446
```

***

Record 2
This entry pairs a crystal structure of LaPmNiAu with its calculated PXRD pattern. Radiation: Cu Ka. Structure: a crystal structure in Alexandria, relaxed with GGA-PBE.
No peak broadening, texture or thermal motion is included.

Main lines, low angle first (10 to 90 degrees two-theta):
2θ 16.5, d = 5.376 Å, rel. 155
2θ 30.7, d = 2.912 Å, rel. 1000
2θ 33.3, d = 2.688 Å, rel. 230
2θ 33.7, d = 2.656 Å, rel. 293
2θ 38.4, d = 2.345 Å, rel. 322
2θ 38.6, d = 2.332 Å, rel. 253
2θ 39.0, d = 2.312 Å, rel. 675
2θ 45.9, d = 1.979 Å, rel. 194
2θ 51.7, d = 1.767 Å, rel. 133
2θ 52.0, d = 1.758 Å, rel. 174
2θ 61.3, d = 1.512 Å, rel. 163
2θ 78.2, d = 1.222 Å, rel. 153

Atomic structure:
```
LaPmNiAu
1.0
4.690 0.000 0.000
0.000 3.957 0.000
0.000 0.000 10.752
La Pm Ni Au
2 2 2 2
direct
0.000 0.000 0.000
0.000 0.500 0.500
0.500 0.000 0.722
0.500 0.500 0.222
0.000 0.000 0.278
0.000 0.500 0.778
0.500 0.000 0.435
0.500 0.500 0.935
```

***

Record 3
This entry pairs a crystal structure of LaPrNiAu with its calculated PXRD pattern. Radiation: Cu Ka. Structure: a crystal structure in Alexandria, relaxed with GGA-PBE.
No peak broadening, texture or thermal motion is included.

Main lines, low angle first (10 to 90 degrees two-theta):
2θ 15.9, d = 5.569 Å, rel. 198
2θ 30.8, d = 2.900 Å, rel. 1000
2θ 32.1, d = 2.785 Å, rel. 263
2θ 33.1, d = 2.709 Å, rel. 276
2θ 37.7, d = 2.383 Å, rel. 250
2θ 38.6, d = 2.335 Å, rel. 703
2θ 39.1, d = 2.304 Å, rel. 302
2θ 45.8, d = 1.980 Å, rel. 192
2θ 51.5, d = 1.775 Å, rel. 140
2θ 52.1, d = 1.755 Å, rel. 154
2θ 61.8, d = 1.502 Å, rel. 156
2θ 76.6, d = 1.243 Å, rel. 179

Atomic structure:
```
LaPrNiAu
1.0
4.609 0.000 0.000
0.000 3.961 0.000
0.000 0.000 11.138
La Pr Ni Au
2 2 2 2
direct
0.000 0.000 0.000
0.000 0.500 0.500
0.500 0.000 0.276
0.500 0.500 0.776
0.500 0.000 0.554
0.500 0.500 0.054
0.000 0.000 0.715
0.000 0.500 0.215
```

***

Record 4
This entry pairs a crystal structure of La4Au2O with its calculated PXRD pattern. Radiation: Cu Ka. Structure: a crystal structure in Alexandria, relaxed with GGA-PBE.
No peak broadening, texture or thermal motion is included.

Main lines, low angle first (10 to 90 degrees two-theta):
2θ 22.9, d = 3.889 Å, rel. 267
2θ 26.7, d = 3.340 Å, rel. 308
2θ 27.3, d = 3.262 Å, rel. 337
2θ 29.3, d = 3.052 Å, rel. 615
2θ 32.8, d = 2.728 Å, rel. 1000
2θ 33.9, d = 2.641 Å, rel. 816
2θ 35.9, d = 2.499 Å, rel. 205
2θ 38.6, d = 2.334 Å, rel. 420
2θ 46.7, d = 1.944 Å, rel. 265
2θ 55.0, d = 1.671 Å, rel. 297
2θ 56.1, d = 1.640 Å, rel. 198
2θ 62.1, d = 1.494 Å, rel. 209

Atomic structure:
```
La4Au2O
1.0
7.472 0.000 0.000
0.000 13.375 0.000
0.000 0.000 3.889
La Au O
8 4 2
direct
0.101 0.187 0.000
0.223 0.958 0.500
0.277 0.458 0.500
0.399 0.687 0.000
0.601 0.313 0.000
0.723 0.542 0.500
0.777 0.042 0.500
0.899 0.813 0.000
0.075 0.663 0.500
0.425 0.163 0.500
0.575 0.837 0.500
0.925 0.337 0.500
0.000 0.000 0.000
0.500 0.500 0.000
```

***

Record 5
This entry pairs a crystal structure of LaAuO3 with its calculated PXRD pattern. Radiation: Cu Ka. Structure: a crystal structure in Alexandria, relaxed with GGA-PBE.
No peak broadening, texture or thermal motion is included.

Main lines, low angle first (10 to 90 degrees two-theta):
2θ 21.8, d = 4.069 Å, rel. 267
2θ 25.7, d = 3.469 Å, rel. 151
2θ 27.7, d = 3.222 Å, rel. 548
2θ 30.1, d = 2.970 Å, rel. 419
2θ 31.1, d = 2.874 Å, rel. 1000
2θ 38.3, d = 2.348 Å, rel. 308
2θ 43.6, d = 2.074 Å, rel. 230
2θ 46.7, d = 1.944 Å, rel. 133
2θ 49.5, d = 1.843 Å, rel. 199
2θ 52.0, d = 1.759 Å, rel. 184
2θ 55.4, d = 1.660 Å, rel. 178
2θ 57.2, d = 1.610 Å, rel. 146

Atomic structure:
```
LaAuO3
1.0
4.069 0.000 0.000
0.000 13.272 0.000
0.000 0.000 5.751
La Au O
4 4 12
direct
0.236 0.081 0.250
0.236 0.419 0.750
0.764 0.581 0.250
0.764 0.919 0.750
0.425 0.670 0.750
0.425 0.830 0.250
0.575 0.170 0.750
0.575 0.330 0.250
0.243 0.578 0.504
0.243 0.578 0.996
0.243 0.922 0.004
0.243 0.922 0.496
0.330 0.250 0.000
0.330 0.250 0.500
0.670 0.750 0.000
0.670 0.750 0.500
0.757 0.078 0.504
0.757 0.078 0.996
0.757 0.422 0.004
0.757 0.422 0.496
```

***

Record 6
This entry pairs a crystal structure of LaAu2O4 with its calculated PXRD pattern. Radiation: Cu Ka. Structure: a crystal structure in Alexandria, relaxed with GGA-PBE.
No peak broadening, texture or thermal motion is included.

Main lines, low angle first (10 to 90 degrees two-theta):
2θ 16.6, d = 5.352 Å, rel. 277
2θ 26.4, d = 3.372 Å, rel. 163
2θ 29.3, d = 3.049 Å, rel. 581
2θ 33.3, d = 2.690 Å, rel. 1000
2θ 33.5, d = 2.676 Å, rel. 826
2θ 45.6, d = 1.989 Å, rel. 231
2θ 51.2, d = 1.784 Å, rel. 179
2θ 53.8, d = 1.703 Å, rel. 248
2θ 54.4, d = 1.686 Å, rel. 404
2θ 59.4, d = 1.556 Å, rel. 146
2θ 60.7, d = 1.525 Å, rel. 167
2θ 69.9, d = 1.345 Å, rel. 222

Atomic structure:
```
LaAu2O4
1.0
-3.111 3.111 5.247
3.111 -3.111 5.247
3.111 3.111 -5.247
La Au O
2 4 8
direct
0.375 0.125 0.250
0.625 0.875 0.750
0.000 0.000 0.500
0.000 0.500 0.000
0.000 0.500 0.500
0.500 0.500 0.000
0.020 0.729 0.896
0.229 0.833 0.708
0.333 0.125 0.604
0.375 0.480 0.208
0.625 0.520 0.792
0.667 0.875 0.396
0.771 0.167 0.292
0.980 0.271 0.104
```

***

Record 7
This entry pairs a crystal structure of LaPmAu2O8 with its calculated PXRD pattern. Radiation: Cu Ka. Structure: a crystal structure in Alexandria, relaxed with GGA-PBE.
No peak broadening, texture or thermal motion is included.

Main lines, low angle first (10 to 90 degrees two-theta):
2θ 27.9, d = 3.197 Å, rel. 1000
2θ 31.5, d = 2.836 Å, rel. 384
2θ 33.9, d = 2.647 Å, rel. 216
2θ 45.2, d = 2.005 Å, rel. 152
2θ 47.0, d = 1.935 Å, rel. 269
2θ 54.0, d = 1.699 Å, rel. 430
2θ 57.0, d = 1.615 Å, rel. 156
2θ 57.7, d = 1.598 Å, rel. 151
2θ 73.0, d = 1.296 Å, rel. 67
2θ 74.9, d = 1.268 Å, rel. 77
2θ 75.6, d = 1.258 Å, rel. 143
2θ 84.8, d = 1.144 Å, rel. 110

Atomic structure:
```
LaPmAu2O8
1.0
-2.836 2.836 5.295
2.836 -2.836 5.295
2.836 2.836 -5.295
La Pm Au O
1 1 2 8
direct
0.000 0.000 0.000
0.750 0.250 0.500
0.250 0.750 0.500
0.500 0.500 0.000
0.095 0.038 0.706
0.132 0.354 0.564
0.332 0.389 0.294
0.433 0.868 0.223
0.611 0.905 0.944
0.646 0.210 0.777
0.790 0.567 0.436
0.962 0.668 0.056
```

***

Record 8
This entry pairs a crystal structure of LaPr2AuO5 with its calculated PXRD pattern. Radiation: Cu Ka. Structure: a crystal structure in Alexandria, relaxed with GGA-PBE.
No peak broadening, texture or thermal motion is included.

Main lines, low angle first (10 to 90 degrees two-theta):
2θ 29.0, d = 3.076 Å, rel. 448
2θ 30.2, d = 2.964 Å, rel. 1000
2θ 33.0, d = 2.714 Å, rel. 381
2θ 37.6, d = 2.391 Å, rel. 265
2θ 39.6, d = 2.276 Å, rel. 165
2θ 40.5, d = 2.229 Å, rel. 157
2θ 41.9, d = 2.157 Å, rel. 280
2θ 44.9, d = 2.020 Å, rel. 171
2θ 48.2, d = 1.888 Å, rel. 210
2θ 52.2, d = 1.754 Å, rel. 242
2θ 56.4, d = 1.630 Å, rel. 205
2θ 69.2, d = 1.357 Å, rel. 163

Atomic structure:
```
LaPr2AuO5
1.0
6.764 0.000 0.000
0.000 6.764 0.000
0.000 0.000 6.152
La Pr Au O
2 4 2 10
direct
0.000 0.000 0.000
0.500 0.500 0.000
0.163 0.337 0.500
0.337 0.837 0.500
0.663 0.163 0.500
0.837 0.663 0.500
0.000 0.500 0.000
0.500 0.000 0.000
0.000 0.000 0.500
0.176 0.676 0.240
0.176 0.676 0.760
0.324 0.176 0.240
0.324 0.176 0.760
0.500 0.500 0.500
0.676 0.824 0.240
0.676 0.824 0.760
0.824 0.324 0.240
0.824 0.324 0.760
```